[1]
The following is a theoretical powder diffractogram of CrB4Mo. It was derived from a PBE-relaxed structure, using Cu Kα (weighted mean of Kα1 and Kα2).
Kinematic intensities with the Lorentz-polarization factor, no thermal factor.

Crystal structure
```
data_CrB4Mo
_cell_length_a 3.019
_cell_length_b 3.019
_cell_length_c 6.262
_cell_angle_alpha 90.00
_cell_angle_beta 90.00
_cell_angle_gamma 120.00
_symmetry_space_group_name_H-M 'P 1'
_symmetry_Int_Tables_number 1
_symmetry_space_group_name_Hall 'P 1'
loop_
_atom_site_label
_atom_site_type_symbol
_atom_site_fract_x
_atom_site_fract_y
_atom_site_fract_z
Cr1 Cr 0.000 0.000 0.000
B1 B 0.333 0.667 0.235
B2 B 0.333 0.667 0.765
B3 B 0.667 0.333 0.235
B4 B 0.667 0.333 0.765
Mo1 Mo 0.000 0.000 0.500
```

Top 6 peaks for 2θ = 15–90°, in order of rising 2θ:
| d [Å] | I/Imax | hkl |
| --- | --- | --- |
| 3.131 | 31 | 0 0 2 |
| 2.615 | 75 | 1 0 0 |
| 2.007 | 100 | 1 0 2 |
| 1.510 | 22 | 1 1 0 |
| 1.343 | 18 | 1 0 4 |
| 1.206 | 18 | 2 0 2 |

[2]
The following is a theoretical powder diffractogram of CrB2Mo2. It was derived from a PBE-relaxed structure, using Cu Kα (weighted mean of Kα1 and Kα2).
Kinematic intensities with the Lorentz-polarization factor, no thermal factor.

Crystal structure
```
data_CrB2Mo2
_cell_length_a 5.843
_cell_length_b 5.843
_cell_length_c 3.127
_cell_angle_alpha 90.00
_cell_angle_beta 90.00
_cell_angle_gamma 90.00
_symmetry_space_group_name_H-M 'P 1'
_symmetry_Int_Tables_number 1
_symmetry_space_group_name_Hall 'P 1'
loop_
_atom_site_label
_atom_site_type_symbol
_atom_site_fract_x
_atom_site_fract_y
_atom_site_fract_z
Cr1 Cr 0.000 0.000 0.000
Cr2 Cr 0.500 0.500 0.000
B1 B 0.114 0.386 0.000
B2 B 0.386 0.886 0.000
B3 B 0.614 0.114 0.000
B4 B 0.886 0.614 0.000
Mo1 Mo 0.177 0.677 0.500
Mo2 Mo 0.323 0.177 0.500
Mo3 Mo 0.677 0.823 0.500
Mo4 Mo 0.823 0.323 0.500
```

Top 6 peaks for 2θ = 15–90°, in order of rising 2θ:
| d [Å] | I/Imax | hkl |
| --- | --- | --- |
| 3.127 | 32 | 0 0 1 |
| 2.613 | 83 | 2 1 0 |
| 2.493 | 30 | 1 1 1 |
| 2.135 | 85 | 2 0 1 |
| 2.005 | 100 | 2 1 1 |
| 1.848 | 35 | 3 1 0 |

[3]
The following is a theoretical powder diffractogram of Nb5CrB4Ru10. It was derived from a PBE-relaxed structure, using Cu Kα (weighted mean of Kα1 and Kα2).
Kinematic intensities with the Lorentz-polarization factor, no thermal factor.

Crystal structure
```
data_Nb5CrB4Ru10
_cell_length_a 9.442
_cell_length_b 9.442
_cell_length_c 2.985
_cell_angle_alpha 90.00
_cell_angle_beta 90.00
_cell_angle_gamma 90.00
_symmetry_space_group_name_H-M 'P 1'
_symmetry_Int_Tables_number 1
_symmetry_space_group_name_Hall 'P 1'
loop_
_atom_site_label
_atom_site_type_symbol
_atom_site_fract_x
_atom_site_fract_y
_atom_site_fract_z
Nb1 Nb 0.000 0.000 0.000
Nb2 Nb 0.179 0.675 0.000
Nb3 Nb 0.325 0.179 0.000
Nb4 Nb 0.675 0.821 0.000
Nb5 Nb 0.821 0.325 0.000
Cr1 Cr 0.500 0.500 0.000
B1 B 0.125 0.380 0.000
B2 B 0.380 0.875 0.000
B3 B 0.620 0.125 0.000
B4 B 0.875 0.620 0.000
Ru1 Ru 0.000 0.500 0.500
Ru2 Ru 0.072 0.220 0.500
Ru3 Ru 0.220 0.928 0.500
Ru4 Ru 0.287 0.432 0.500
Ru5 Ru 0.432 0.713 0.500
Ru6 Ru 0.500 0.000 0.500
Ru7 Ru 0.568 0.287 0.500
Ru8 Ru 0.713 0.568 0.500
Ru9 Ru 0.780 0.072 0.500
Ru10 Ru 0.928 0.780 0.500
```

Top 6 peaks for 2θ = 15–90°, in order of rising 2θ:
| d [Å] | I/Imax | hkl |
| --- | --- | --- |
| 2.438 | 50 | 2 1 1 |
| 2.290 | 62 | 1 4 0 |
| 2.225 | 36 | 2 2 1 |
| 2.111 | 100 | 3 1 1 |
| 1.969 | 27 | 3 2 1 |
| 1.219 | 25 | 1 7 1 |

What did the first record say?
The following is a theoretical powder diffractogram of CrB4Mo. It was derived from a PBE-relaxed structure, using Cu Kα (weighted mean of Kα1 and Kα2).
Kinematic intensities with the Lorentz-polarization factor, no thermal factor.

Crystal structure
```
data_CrB4Mo
_cell_length_a 3.019
_cell_length_b 3.019
_cell_length_c 6.262
_cell_angle_alpha 90.00
_cell_angle_beta 90.00
_cell_angle_gamma 120.00
_symmetry_space_group_name_H-M 'P 1'
_symmetry_Int_Tables_number 1
_symmetry_space_group_name_Hall 'P 1'
loop_
_atom_site_label
_atom_site_type_symbol
_atom_site_fract_x
_atom_site_fract_y
_atom_site_fract_z
Cr1 Cr 0.000 0.000 0.000
B1 B 0.333 0.667 0.235
B2 B 0.333 0.667 0.765
B3 B 0.667 0.333 0.235
B4 B 0.667 0.333 0.765
Mo1 Mo 0.000 0.000 0.500
```

Top 6 peaks for 2θ = 15–90°, in order of rising 2θ:
| d [Å] | I/Imax | hkl |
| --- | --- | --- |
| 3.131 | 31 | 0 0 2 |
| 2.615 | 75 | 1 0 0 |
| 2.007 | 100 | 1 0 2 |
| 1.510 | 22 | 1 1 0 |
| 1.343 | 18 | 1 0 4 |
| 1.206 | 18 | 2 0 2 |

What did the first record say?
The following is a theoretical powder diffractogram of CrB4Mo. It was derived from a PBE-relaxed structure, using Cu Kα (weighted mean of Kα1 and Kα2).
Kinematic intensities with the Lorentz-polarization factor, no thermal factor.

Crystal structure
```
data_CrB4Mo
_cell_length_a 3.019
_cell_length_b 3.019
_cell_length_c 6.262
_cell_angle_alpha 90.00
_cell_angle_beta 90.00
_cell_angle_gamma 120.00
_symmetry_space_group_name_H-M 'P 1'
_symmetry_Int_Tables_number 1
_symmetry_space_group_name_Hall 'P 1'
loop_
_atom_site_label
_atom_site_type_symbol
_atom_site_fract_x
_atom_site_fract_y
_atom_site_fract_z
Cr1 Cr 0.000 0.000 0.000
B1 B 0.333 0.667 0.235
B2 B 0.333 0.667 0.765
B3 B 0.667 0.333 0.235
B4 B 0.667 0.333 0.765
Mo1 Mo 0.000 0.000 0.500
```

Top 6 peaks for 2θ = 15–90°, in order of rising 2θ:
| d [Å] | I/Imax | hkl |
| --- | --- | --- |
| 3.131 | 31 | 0 0 2 |
| 2.615 | 75 | 1 0 0 |
| 2.007 | 100 | 1 0 2 |
| 1.510 | 22 | 1 1 0 |
| 1.343 | 18 | 1 0 4 |
| 1.206 | 18 | 2 0 2 |